Record 1
Starting from a GGA-PBE-relaxed structure, the powder XRD pattern of AlPd4 was computed for Cu Kα.
No peak broadening, texture or thermal motion is included.

Largest 10 diffraction maxima, by intensity, 2θ = 15–90°:
| 2θ/deg | d [Å] | I_rel |
| --- | --- | --- |
| 39.55 | 2.279 | 100 |
| 33.15 | 2.703 | 58 |
| 38.74 | 2.325 | 29 |
| 45.68 | 1.986 | 27 |
| 63.54 | 1.464 | 20 |
| 47.58 | 1.911 | 20 |
| 62.96 | 1.476 | 18 |
| 75.69 | 1.257 | 13 |
| 68.09 | 1.377 | 11 |
| 66.19 | 1.412 | 9 |

Crystal structure
a b c (Å): 7.644 7.644 5.677
angles (deg): 90.00 90.00 90.00
Space group I4_1/amd (No. 141, origin choice 2)
Inequivalent atoms, fractional coordinates:
Al 0.000 0.250 0.375
Pd 0.000 0.048 0.739

=====

Record 2
Starting from a GGA-PBE-relaxed structure, the powder XRD pattern of Pm8Al2Pd was computed for Cu Kα.
No peak broadening, texture or thermal motion is included.

Largest 10 diffraction maxima, by intensity, 2θ = 15–90°:
| 2θ/deg | d [Å] | I_rel |
| --- | --- | --- |
| 34.38 | 2.608 | 100 |
| 33.27 | 2.693 | 43 |
| 31.69 | 2.824 | 29 |
| 60.16 | 1.538 | 20 |
| 23.36 | 3.808 | 20 |
| 62.31 | 1.490 | 17 |
| 23.06 | 3.857 | 13 |
| 32.40 | 2.763 | 13 |
| 51.07 | 1.789 | 12 |
| 62.82 | 1.479 | 11 |

Crystal structure
a b c (Å): 5.387 7.081 16.579
angles (deg): 90.00 90.00 90.00
Space group Immm (No. 71)
Inequivalent atoms, fractional coordinates:
Pm 0.000 0.000 0.196
Pm 0.000 0.236 0.366
Pm 0.000 0.257 0.000
Al 0.000 0.500 0.185
Pd 0.000 0.500 0.500

=====

Record 3
Starting from a GGA-PBE-relaxed structure, the powder XRD pattern of Pm2Al7Pd was computed for Cu Kα.
No peak broadening, texture or thermal motion is included.

Largest 10 diffraction maxima, by intensity, 2θ = 15–90°:
| 2θ/deg | d [Å] | I_rel |
| --- | --- | --- |
| 34.03 | 2.635 | 100 |
| 32.06 | 2.792 | 78 |
| 22.49 | 3.953 | 58 |
| 54.45 | 1.685 | 42 |
| 42.78 | 2.114 | 37 |
| 45.99 | 1.974 | 30 |
| 72.74 | 1.300 | 22 |
| 64.61 | 1.442 | 21 |
| 58.45 | 1.579 | 16 |
| 48.86 | 1.864 | 15 |

Crystal structure
a b c (Å): 4.228 4.228 11.156
angles (deg): 90.00 90.00 90.00
Space group P-4m2 (No. 115)
Inequivalent atoms, fractional coordinates:
Pm 0.000 0.500 0.248
Al 0.000 0.000 0.000
Al 0.000 0.500 0.630
Al 0.000 0.500 0.856
Al 0.500 0.500 0.000
Al 0.500 0.500 0.500
Pd 0.000 0.000 0.500

=====

Record 4
Starting from a GGA-PBE-relaxed structure, the powder XRD pattern of PmAl4Pd was computed for Cu Kα.
No peak broadening, texture or thermal motion is included.

Largest 10 diffraction maxima, by intensity, 2θ = 15–90°:
| 2θ/deg | d [Å] | I_rel |
| --- | --- | --- |
| 30.02 | 2.977 | 100 |
| 34.47 | 2.602 | 77 |
| 36.41 | 2.468 | 52 |
| 37.74 | 2.384 | 46 |
| 26.54 | 3.359 | 44 |
| 42.47 | 2.129 | 37 |
| 21.61 | 4.113 | 34 |
| 49.07 | 1.857 | 31 |
| 17.27 | 5.134 | 31 |
| 38.11 | 2.362 | 30 |

Crystal structure
a b c (Å): 4.257 15.919 6.718
angles (deg): 90.00 90.00 90.00
Space group Cmcm (No. 63)
Inequivalent atoms, fractional coordinates:
Pm 0.000 0.115 0.250
Al 0.000 0.072 0.750
Al 0.000 0.317 0.052
Al 0.000 0.500 0.000
Pd 0.000 0.225 0.750